Diffraction record for Li8MnNi7O16. The powder X-ray diffraction pattern is calculated, not measured: it uses a cell relaxed with PBE+U and λ = 1.5418 Å (Cu Kα).

Crystal structure
Unit cell a=6.4995 b=6.6326 c=7.5958 alpha=64.54 beta=75.54 gamma=72.66
Fractional positions:
Li: 0.0572 0.4398 0.1882
Li: 0.1919 0.3061 0.5629
Li: 0.3112 0.1881 0.9307
Li: 0.4336 0.0596 0.3128
Li: 0.5664 0.9404 0.6872
Li: 0.6888 0.8119 0.0693
Li: 0.8081 0.6939 0.4371
Li: 0.9428 0.5602 0.8118
Mn: 0.5000 0.5000 0.0000
Ni: 0.0000 0.0000 0.5000
Ni: 0.1223 0.8782 0.8724
Ni: 0.2493 0.7509 0.2502
Ni: 0.3760 0.6241 0.6254
Ni: 0.6240 0.3759 0.3746
Ni: 0.7507 0.2491 0.7498
Ni: 0.8777 0.1218 0.1276
O: 0.0208 0.2109 0.8650
O: 0.0987 0.6842 0.5342
O: 0.1348 0.0866 0.2327
O: 0.2444 0.5298 0.8967
O: 0.2513 0.9689 0.6022
O: 0.3626 0.4113 0.2721
O: 0.4012 0.8228 0.9634
O: 0.4785 0.2890 0.6355
O: 0.5215 0.7110 0.3645
O: 0.5988 0.1772 0.0366
O: 0.6374 0.5887 0.7279
O: 0.7487 0.0311 0.3978
O: 0.7556 0.4702 0.1033
O: 0.8652 0.9134 0.7673
O: 0.9013 0.3158 0.4658
O: 0.9792 0.7891 0.1350

Principal peaks in the range 10 to 90 degrees two-theta, by angle:
- 2θ = 18.53°, d = 4.787 Å, intensity 100
- 2θ = 35.64°, d = 2.519 Å, intensity 17
- 2θ = 36.62°, d = 2.454 Å, intensity 26
- 2θ = 37.63°, d = 2.391 Å, intensity 11
- 2θ = 43.10°, d = 2.099 Å, intensity 26
- 2θ = 44.26°, d = 2.046 Å, intensity 24
- 2θ = 44.58°, d = 2.033 Å, intensity 23
- 2θ = 63.69°, d = 1.461 Å, intensity 13